Starting from a crystal structure in Alexandria, relaxed with GGA-PBE, the powder XRD pattern of PmPuS3 was computed for Cu Kα X-rays.

Structural model:
abc: 7.3767 3.9812 15.3813
angles: 90.00 90.00 90.00
Space group Pnma (No. 62)
Inequivalent atoms, fractional coordinates:
Pm  0.1360  0.2500  0.2047 [4 per cell]
Pu  0.2331  0.7500  0.4605 [4 per cell]
S  0.0114  0.2500  0.3945 [4 per cell]
S  0.1274  0.7500  0.0661 [4 per cell]
S  0.1517  0.2500  0.7835 [4 per cell]

Most intense lines, 10° ≤ 2θ ≤ 80°, sorted by position:
2θ (°)	I (rel.)	h k l
23.12	15	0 0 4
24.13	18	2 0 0
26.10	100	1 0 4
28.38	24	0 1 3
35.16	25	2 1 2
36.93	15	0 1 5
37.59	16	2 1 3
38.96	20	1 1 5
43.69	20	3 1 1
45.57	15	0 2 0

=====

Starting from a crystal structure in Alexandria, relaxed with GGA-PBE, the powder XRD pattern of Sm5TlCu4 was computed for Cu Kα X-rays.

Structural model:
abc: 3.5676 3.5676 18.5432
angles: 90.00 90.00 90.00
Space group P4/mmm (No. 123)
Inequivalent atoms, fractional coordinates:
Sm  0.0000  0.0000  0.0000 [1 per cell]
Sm  0.0000  0.0000  0.1909 [2 per cell]
Sm  0.0000  0.0000  0.3810 [2 per cell]
Tl  0.5000  0.5000  0.5000 [1 per cell]
Cu  0.5000  0.5000  0.0958 [2 per cell]
Cu  0.5000  0.5000  0.2842 [2 per cell]

Most intense lines, 10° ≤ 2θ ≤ 80°, sorted by position:
2θ (°)	I (rel.)	h k l
24.96	7	1 0 0
28.89	9	0 0 6
31.65	9	1 0 4
34.90	100	1 0 5
35.59	54	1 1 0
49.13	6	0 0 10
51.21	19	2 0 0
62.13	12	1 1 10
63.47	35	2 1 5
73.69	7	2 0 10

=====

Starting from a crystal structure in Alexandria, relaxed with GGA-PBE, the powder XRD pattern of Na2Hg7Pb2 was computed for Cu Kα X-rays.

Structural model:
abc: 3.5955 16.4314 10.4623
angles: 90.00 90.00 90.00
Space group Imm2 (No. 44)
Inequivalent atoms, fractional coordinates:
Na  0.0000  0.1980  0.0000 [4 per cell]
Hg  0.0000  0.0000  0.0713 [2 per cell]
Hg  0.0000  0.1262  0.5063 [4 per cell]
Hg  0.0000  0.3175  0.7477 [4 per cell]
Hg  0.0000  0.3378  0.2537 [4 per cell]
Pb  0.0000  0.0000  0.7790 [2 per cell]
Pb  0.0000  0.5000  0.8302 [2 per cell]

Most intense lines, 10° ≤ 2θ ≤ 80°, sorted by position:
2θ (°)	I (rel.)	h k l
16.95	30	0 0 2
28.44	34	0 5 1
29.72	25	1 3 0
30.66	63	1 1 2
32.70	43	0 6 0
34.25	100	0 0 4
34.41	95	1 3 2
37.06	33	0 6 2
61.48	39	1 3 6
62.75	25	2 0 4

=====

Starting from a crystal structure in Alexandria, relaxed with GGA-PBE, the powder XRD pattern of MnMoRh2 was computed for Cu Kα X-rays.

Structural model:
abc: 3.8403 3.8403 3.7958
angles: 90.00 90.00 90.00
Space group P4/mmm (No. 123)
Inequivalent atoms, fractional coordinates:
Mn  0.0000  0.0000  0.0000 [1 per cell]
Mo  0.5000  0.5000  0.0000 [1 per cell]
Rh  0.0000  0.5000  0.5000 [2 per cell]

Most intense lines, 10° ≤ 2θ ≤ 80°, sorted by position:
2θ (°)	I (rel.)	h k l
23.16	3	1 0 0
23.44	3	0 0 1
32.99	2	1 1 0
33.19	2	1 0 1
40.86	100	1 1 1
47.34	32	2 0 0
47.93	16	0 0 2
53.48	1	2 0 1
69.19	10	2 2 0
69.66	20	2 0 2

=====

Starting from a crystal structure in Alexandria, relaxed with GGA-PBE, the powder XRD pattern of Tb4Sb2PSe was computed for Cu Kα X-rays.

Structural model:
abc: 7.3175 4.2201 7.3569
angles: 90.00 109.22 90.00
Space group P2/m (No. 10)
Inequivalent atoms, fractional coordinates:
Tb  0.2355  0.0000  0.2295 [2 per cell]
Tb  0.2462  0.5000  0.7653 [2 per cell]
Sb  0.0000  0.0000  0.5000 [1 per cell]
Sb  0.5000  0.5000  0.5000 [1 per cell]
P  0.0000  0.5000  0.0000 [1 per cell]
Se  0.5000  0.0000  0.0000 [1 per cell]

Most intense lines, 10° ≤ 2θ ≤ 80°, sorted by position:
2θ (°)	I (rel.)	h k l
25.82	11	1 1 -1
29.85	100	1 1 1
42.61	36	1 1 -3
42.83	38	0 2 0
53.01	6	4 0 0
53.12	13	2 2 -2
62.01	12	2 2 2
70.22	10	0 2 4
70.49	16	1 3 1
78.38	10	1 3 -3

=====

Starting from a crystal structure in Alexandria, relaxed with GGA-PBE, the powder XRD pattern of Tl4Hg4Te was computed for Cu Kα X-rays.

Structural model:
abc: 11.5071 11.5071 4.1923
angles: 90.00 90.00 90.00
Space group I4/m (No. 87)
Inequivalent atoms, fractional coordinates:
Tl  0.1472  0.8285  0.0000 [8 per cell]
Hg  0.0256  0.3420  0.5000 [8 per cell]
Te  0.0000  0.0000  0.5000 [2 per cell]

Most intense lines, 10° ≤ 2θ ≤ 80°, sorted by position:
2θ (°)	I (rel.)	h k l
31.62	100	3 0 1
33.03	41	3 3 0
34.87	7	2 4 0
43.16	12	0 0 2
47.40	12	6 0 0
55.40	19	3 3 2
55.64	6	4 5 1
58.10	24	6 3 1
66.03	9	6 0 2
71.91	10	3 0 3

=====

Starting from a crystal structure in Alexandria, relaxed with GGA-PBE, the powder XRD pattern of La2Nd6Dy3Er was computed for Cu Kα X-rays.

Structural model:
abc: 6.3221 10.9509 12.0528
angles: 90.00 100.11 90.00
Space group C2/m (No. 12)
Inequivalent atoms, fractional coordinates:
La  0.0000  0.1669  0.0000 [4 per cell]
Nd  0.2473  0.5000  0.7455 [4 per cell]
Nd  0.2496  0.1658  0.7458 [8 per cell]
Dy  0.0000  0.0000  0.5000 [2 per cell]
Dy  0.0000  0.3338  0.5000 [4 per cell]
Er  0.0000  0.5000  0.0000 [2 per cell]

Most intense lines, 10° ≤ 2θ ≤ 80°, sorted by position:
2θ (°)	I (rel.)	h k l
30.00	100	1 3 1
30.13	33	0 0 4
34.81	67	2 0 2
49.97	24	0 6 0
50.14	24	1 3 5
59.43	34	4 0 0
59.48	10	3 3 3
59.61	14	2 0 6
62.35	8	2 6 2
73.50	8	4 0 4

=====

Starting from a crystal structure in Alexandria, relaxed with GGA-PBE, the powder XRD pattern of BeVAu was computed for Cu Kα X-rays.

Structural model:
abc: 4.6034 7.8332 8.7766
angles: 90.00 90.00 90.00
Space group Fmmm (No. 69)
Inequivalent atoms, fractional coordinates:
Be  0.2500  0.2500  0.2500 [8 per cell]
V  0.0000  0.1662  0.0000 [8 per cell]
Au  0.0000  0.0000  0.3433 [8 per cell]

Most intense lines, 10° ≤ 2θ ≤ 80°, sorted by position:
2θ (°)	I (rel.)	h k l
22.70	52	0 2 0
24.62	44	1 1 1
30.59	17	0 2 2
38.22	100	1 1 3
39.14	28	2 0 0
41.06	46	1 3 1
45.72	20	2 2 0
50.90	20	1 3 3
70.31	17	3 1 3
71.29	16	1 5 3

=====

Starting from a crystal structure in Alexandria, relaxed with GGA-PBE, the powder XRD pattern of Sm3Ni8Au was computed for Cu Kα X-rays.

Structural model:
abc: 5.0519 5.0519 24.9259
angles: 90.00 90.00 120.00
Space group R3m (No. 160, hexagonal axes)
Inequivalent atoms, fractional coordinates:
Sm  0.0000  0.0000  0.0000 [3 per cell]
Sm  0.0000  0.0000  0.1297 [3 per cell]
Sm  0.0000  0.0000  0.5158 [3 per cell]
Ni  0.0000  0.0000  0.3189 [3 per cell]
Ni  0.0000  0.0000  0.8192 [3 per cell]
Ni  0.1677  0.3353  0.4020 [9 per cell]
Ni  0.1684  0.3367  0.9025 [9 per cell]
Au  0.0000  0.0000  0.6359 [3 per cell]

Most intense lines, 10° ≤ 2θ ≤ 80°, sorted by position:
2θ (°)	I (rel.)	h k l
21.53	14	0 1 2
35.37	40	0 1 8
35.54	43	1 1 0
41.70	31	1 0 10
41.88	100	2 0 2
43.86	15	0 2 4
63.71	15	1 2 8
68.04	14	2 1 10
68.15	15	3 0 6
75.24	15	2 2 0

=====

Starting from a crystal structure in Alexandria, relaxed with GGA-PBE, the powder XRD pattern of Tl6In2Sb was computed for Cu Kα X-rays.

Structural model:
abc: 3.5640 3.5640 24.7975
angles: 90.00 90.00 120.00
Space group P-6m2 (No. 187)
Inequivalent atoms, fractional coordinates:
Tl  0.0000  0.0000  0.0634 [2 per cell]
Tl  0.0000  0.0000  0.2736 [2 per cell]
Tl  0.3333  0.6667  0.3910 [2 per cell]
In  0.3333  0.6667  0.1683 [2 per cell]
Sb  0.0000  0.0000  0.5000 [1 per cell]

Most intense lines, 10° ≤ 2θ ≤ 80°, sorted by position:
2θ (°)	I (rel.)	h k l
28.93	44	1 0 0
29.16	14	1 0 1
32.44	100	0 0 9
34.22	73	1 0 5
36.33	13	1 0 6
44.06	26	1 0 9
51.27	33	1 1 0
60.24	17	1 0 14
62.01	45	1 1 9
63.09	13	2 0 5

=====

Starting from a crystal structure in Alexandria, relaxed with GGA-PBE, the powder XRD pattern of CsTm5Se8 was computed for Cu Kα X-rays.

Structural model:
abc: 20.9671 4.0943 10.1161
angles: 90.00 104.35 90.00
Space group Cm (No. 8)
Inequivalent atoms, fractional coordinates:
Cs  0.0000  0.0000  0.0000 [2 per cell]
Tm  0.0001  0.5000  0.4996 [2 per cell]
Tm  0.1565  0.0000  0.4600 [2 per cell]
Tm  0.2041  0.0000  0.8417 [2 per cell]
Tm  0.2961  0.5000  0.1576 [2 per cell]
Tm  0.3438  0.5000  0.5393 [2 per cell]
Se  0.0779  0.0000  0.6515 [2 per cell]
Se  0.0830  0.5000  0.3151 [2 per cell]
Se  0.1681  0.5000  0.9922 [2 per cell]
Se  0.2322  0.5000  0.6502 [2 per cell]
Se  0.2681  0.0000  0.3492 [2 per cell]
Se  0.3320  0.0000  0.0071 [2 per cell]
Se  0.4173  0.0000  0.6842 [2 per cell]
Se  0.4224  0.5000  0.3477 [2 per cell]

Most intense lines, 10° ≤ 2θ ≤ 80°, sorted by position:
2θ (°)	I (rel.)	h k l
17.57	27	4 0 -1
18.10	23	0 0 2
28.10	100	3 1 1
29.41	40	1 1 2
33.29	26	3 1 2
35.07	57	3 1 -3
35.78	25	6 0 2
40.08	33	3 1 3
44.24	35	0 2 0
44.76	62	9 1 -1

=====

Starting from a crystal structure in Alexandria, relaxed with GGA-PBE, the powder XRD pattern of TbHfSc4 was computed for Cu Kα X-rays.

Structural model:
abc: 5.1838 3.3168 17.5249
angles: 90.00 90.00 90.00
Space group Amm2 (No. 38)
Inequivalent atoms, fractional coordinates:
Tb  0.0000  0.0000  0.0000 [2 per cell]
Hf  0.5000  0.0000  0.7773 [2 per cell]
Sc  0.0000  0.0000  0.3289 [2 per cell]
Sc  0.0000  0.0000  0.6715 [2 per cell]
Sc  0.5000  0.0000  0.1180 [2 per cell]
Sc  0.5000  0.0000  0.4346 [2 per cell]

Most intense lines, 10° ≤ 2θ ≤ 80°, sorted by position:
2θ (°)	I (rel.)	h k l
19.90	64	1 0 2
20.27	25	0 0 4
27.37	17	0 1 1
31.01	25	0 1 3
34.61	37	2 0 0
35.27	52	1 0 6
35.62	100	1 1 3
54.66	18	0 1 9
62.68	18	3 1 3
66.33	20	2 1 9

=====

Starting from a crystal structure in Alexandria, relaxed with GGA-PBE, the powder XRD pattern of Sm8Y5Tm was computed for Cu Kα X-rays.

Structural model:
abc: 10.3677 11.0513 9.7248
angles: 90.00 121.05 90.00
Space group C2 (No. 5)
Inequivalent atoms, fractional coordinates:
Sm  0.0090  0.0000  0.3326 [4 per cell]
Sm  0.1684  0.6428  0.2971 [4 per cell]
Sm  0.1740  0.4628  0.6661 [4 per cell]
Sm  0.1823  0.1748  0.0266 [4 per cell]
Y  0.0000  0.8679  0.0000 [2 per cell]
Y  0.1442  0.3204  0.3271 [4 per cell]
Y  0.1486  0.4601  0.0004 [4 per cell]
Tm  0.0000  0.7271  0.5000 [2 per cell]

Most intense lines, 10° ≤ 2θ ≤ 80°, sorted by position:
2θ (°)	I (rel.)	h k l
26.24	34	1 3 -1
27.68	74	3 1 -2
30.27	87	1 3 1
30.46	93	1 3 -2
31.28	83	3 1 0
31.79	100	3 1 -3
32.23	83	0 0 3
36.87	33	2 4 -1
38.37	38	4 2 -2
56.51	29	1 3 -5

=====

Starting from a crystal structure in Alexandria, relaxed with GGA-PBE, the powder XRD pattern of Na3BS3 was computed for Cu Kα X-rays.

Structural model:
abc: 7.4580 5.6190 7.4633
angles: 90.00 101.62 90.00
Space group P2_1/m (No. 11)
Inequivalent atoms, fractional coordinates:
Na  0.0939  0.2500  0.3235 [2 per cell]
Na  0.3236  0.7500  0.0946 [2 per cell]
Na  0.3883  0.7500  0.6130 [2 per cell]
B  0.2106  0.2500  0.7888 [2 per cell]
S  0.0350  0.7500  0.3069 [2 per cell]
S  0.3058  0.2500  0.0343 [2 per cell]
S  0.3715  0.2500  0.6284 [2 per cell]

Most intense lines, 10° ≤ 2θ ≤ 80°, sorted by position:
2θ (°)	I (rel.)	h k l
19.93	53	1 1 0
29.45	90	2 0 1
30.93	88	2 0 -2
31.85	100	0 2 0
36.90	45	0 0 3
43.93	54	2 2 1
44.99	57	2 2 -2
48.89	20	4 0 -1
49.53	35	0 2 3
59.54	21	4 2 -1